OsBr4: calculated X-ray diffraction stick pattern (Cu Kα (λ = 1.5418 Å)), based on a DFT-relaxed cell (GGA-PBE, OQMD).
Kinematic intensities with the Lorentz-polarization factor, no thermal factor.

The 8 most intense peaks (5° ≤ 2θ ≤ 70°), by angle:
2θ = 13.5°, rel. 83; 2θ = 16.2°, rel. 96; 2θ = 25.2°, rel. 22; 2θ = 28.6°, rel. 33; 2θ = 31.0°, rel. 100; 2θ = 40.7°, rel. 72; 2θ = 47.5°, rel. 19; 2θ = 47.9°, rel. 46

Cell and atoms:
```
OsBr4
1.0
3.803 0.000 0.000
0.000 5.999 0.000
0.000 0.000 13.152
Os Br
2 8
direct
0.000 0.248 0.000
0.000 0.752 0.500
0.000 0.014 0.848
0.000 0.482 0.152
0.000 0.518 0.652
0.000 0.986 0.348
0.500 0.020 0.074
0.500 0.475 0.926
0.500 0.525 0.426
0.500 0.980 0.574
```

Tb2ScCu4Si2Ge2: calculated X-ray diffraction stick pattern (Cu Kα (λ = 1.5418 Å)), based on a DFT-relaxed cell (GGA-PBE, OQMD).
Kinematic intensities with the Lorentz-polarization factor, no thermal factor.

The 8 most intense peaks (5° ≤ 2θ ≤ 70°), by angle:
2θ = 12.9°, rel. 32; 2θ = 15.1°, rel. 16; 2θ = 25.4°, rel. 17; 2θ = 35.7°, rel. 100; 2θ = 36.7°, rel. 92; 2θ = 40.4°, rel. 54; 2θ = 43.3°, rel. 37; 2θ = 46.6°, rel. 20

Cell and atoms:
```
Tb2ScCu4Si2Ge2
1.0
-2.089 3.236 6.841
2.089 -3.236 6.841
2.089 3.236 -6.841
Tb Sc Cu Si Ge
2 1 4 2 2
direct
0.130 0.130 0.000
0.870 0.870 0.000
0.500 0.000 0.500
0.145 0.336 0.809
0.473 0.664 0.809
0.527 0.336 0.191
0.855 0.664 0.191
0.190 0.500 0.690
0.810 0.500 0.310
0.287 0.787 0.500
0.713 0.213 0.500
```

In8Ir2Se: calculated X-ray diffraction stick pattern (Cu Kα (λ = 1.5418 Å)), based on a DFT-relaxed cell (GGA-PBE, OQMD).
Kinematic intensities with the Lorentz-polarization factor, no thermal factor.

The 8 most intense peaks (5° ≤ 2θ ≤ 70°), by angle:
2θ = 17.3°, rel. 40; 2θ = 19.7°, rel. 41; 2θ = 32.9°, rel. 81; 2θ = 35.0°, rel. 39; 2θ = 36.7°, rel. 60; 2θ = 37.8°, rel. 47; 2θ = 40.8°, rel. 100; 2θ = 65.0°, rel. 29

Cell and atoms:
```
In8Ir2Se
1.0
10.093 0.000 0.000
0.000 10.093 0.000
0.000 0.000 10.258
In Ir Se
32 8 4
direct
0.000 0.000 0.164
0.000 0.000 0.836
0.053 0.296 0.298
0.053 0.296 0.702
0.095 0.905 0.500
0.188 0.812 0.000
0.201 0.201 0.000
0.204 0.553 0.202
0.204 0.553 0.798
0.296 0.053 0.298
0.296 0.053 0.702
0.299 0.701 0.500
0.312 0.312 0.500
0.405 0.405 0.000
0.447 0.796 0.202
0.447 0.796 0.798
0.500 0.500 0.336
0.500 0.500 0.664
0.553 0.204 0.202
0.553 0.204 0.798
0.595 0.595 0.000
0.688 0.688 0.500
0.701 0.299 0.500
0.704 0.947 0.298
0.704 0.947 0.702
0.796 0.447 0.202
0.796 0.447 0.798
0.799 0.799 0.000
0.812 0.188 0.000
0.905 0.095 0.500
0.947 0.704 0.298
0.947 0.704 0.702
0.186 0.814 0.260
0.186 0.814 0.740
0.314 0.314 0.240
0.314 0.314 0.760
0.686 0.686 0.240
0.686 0.686 0.760
0.814 0.186 0.260
0.814 0.186 0.740
0.000 0.500 0.000
0.000 0.500 0.500
0.500 0.000 0.000
0.500 0.000 0.500
```

SrCdSn2Hg: calculated X-ray diffraction stick pattern (Cu Kα (λ = 1.5418 Å)), based on a DFT-relaxed cell (GGA-PBE, OQMD).
Kinematic intensities with the Lorentz-polarization factor, no thermal factor.

The 8 most intense peaks (5° ≤ 2θ ≤ 70°), by angle:
2θ = 19.7°, rel. 45; 2θ = 28.3°, rel. 48; 2θ = 29.8°, rel. 100; 2θ = 37.1°, rel. 80; 2θ = 39.1°, rel. 68; 2θ = 40.7°, rel. 45; 2θ = 53.5°, rel. 28; 2θ = 56.3°, rel. 36

Cell and atoms:
```
SrCdSn2Hg
1.0
4.842 0.000 0.000
0.000 4.842 0.000
0.000 0.000 12.458
Sr Cd Sn Hg
2 2 4 2
direct
0.250 0.250 0.248
0.750 0.750 0.752
0.250 0.750 0.000
0.750 0.250 0.000
0.250 0.250 0.864
0.250 0.750 0.500
0.750 0.250 0.500
0.750 0.750 0.136
0.250 0.250 0.641
0.750 0.750 0.359
```